No. 1
For CeTm2Ga3, a cell relaxed with GGA-PBE gives the theoretical X-ray diffraction stick pattern in this record (Cu Kα X-rays).

Structure:
```
CeTm2Ga3
1.0
3.4949 0.0000 0.0000
0.0000 3.4949 0.0000
0.0000 0.0000 11.0565
Ce Tm Ga
1 2 3
Direct
0.0000 0.0000 0.0000 Ce
0.0000 0.0000 0.3392 Tm
0.0000 0.0000 0.6608 Tm
0.5000 0.5000 0.1794 Ga
0.5000 0.5000 0.5000 Ga
0.5000 0.5000 0.8206 Ga
```

Top 10 peaks for 2θ from 10° to 90°, in order of falling intensity:
d 2.536, I 100.0
d 2.471, I 47.3
d 1.439, I 34.0
d 1.477, I 17.7
d 1.747, I 16.6
d 3.495, I 15.8
d 1.268, I 10.5
d 1.843, I 9.2
d 3.685, I 9.2
d 2.053, I 7.6

***

No. 2
For Ce2TmGa2, a cell relaxed with GGA-PBE gives the theoretical X-ray diffraction stick pattern in this record (Cu Kα X-rays).

Structure:
```
Ce2TmGa2
1.0
6.1676 0.0000 0.0000
0.0000 4.2792 0.0000
-2.5433 0.0000 9.3726
Ce Tm Ga
4 2 4
Direct
0.0560 0.2500 0.3369 Ce
0.1294 0.2500 0.0616 Ce
0.8706 0.7500 0.9384 Ce
0.9440 0.7500 0.6631 Ce
0.4505 0.2500 0.7380 Tm
0.5495 0.7500 0.2620 Tm
0.3683 0.7500 0.5195 Ga
0.3683 0.7500 0.9344 Ga
0.6317 0.2500 0.0656 Ga
0.6317 0.2500 0.4805 Ga
```

Top 10 peaks for 2θ from 10° to 90°, in order of falling intensity:
d 2.523, I 100.0
d 3.107, I 96.5
d 2.387, I 49.0
d 2.140, I 48.9
d 3.433, I 45.7
d 3.124, I 36.7
d 2.443, I 31.6
d 2.644, I 29.1
d 1.298, I 28.2
d 1.750, I 22.5

***

No. 3
For CeTm2Zn2Ga2, a cell relaxed with GGA-PBE gives the theoretical X-ray diffraction stick pattern in this record (Cu Kα X-rays).

Structure:
```
CeTm2Zn2Ga2
1.0
2.2245 1.2843 9.1468
-2.2245 1.2843 9.1468
0.0000 -2.5686 9.1468
Ce Tm Zn Ga
1 2 2 2
Direct
0.0000 0.0000 0.0000 Ce
0.1281 0.1281 0.1281 Tm
0.8719 0.8719 0.8719 Tm
0.4019 0.4019 0.4019 Zn
0.5981 0.5981 0.5981 Zn
0.2573 0.2573 0.2573 Ga
0.7427 0.7427 0.7427 Ga
```

Top 10 peaks for 2θ from 10° to 90°, in order of falling intensity:
d 2.562, I 100.0
d 2.225, I 95.6
d 2.748, I 76.9
d 3.816, I 42.5
d 1.413, I 33.8
d 1.680, I 27.8
d 1.340, I 26.0
d 1.729, I 19.4
d 1.365, I 17.6
d 1.284, I 16.0

***

No. 4
For Ce4Y3Ga4, a cell relaxed with GGA-PBE gives the theoretical X-ray diffraction stick pattern in this record (Cu Kα X-rays).

Structure:
```
Ce4Y3Ga4
1.0
-1.7475 4.3912 9.2659
1.7475 -4.3912 9.2659
1.7475 4.3912 -9.2659
Ce Y Ga
4 3 4
Direct
0.0059 0.1658 0.8402 Ce
0.3256 0.1658 0.1598 Ce
0.6744 0.8342 0.8402 Ce
0.9941 0.8342 0.1598 Ce
0.0000 0.5000 0.5000 Y
0.4067 0.4067 0.0000 Y
0.5933 0.5933 0.0000 Y
0.2787 0.0000 0.2787 Ga
0.2800 0.7800 0.5000 Ga
0.7200 0.2200 0.5000 Ga
0.7213 0.0000 0.7213 Ga
```

Top 10 peaks for 2θ from 10° to 90°, in order of falling intensity:
d 2.645, I 100.0
d 2.659, I 75.3
d 2.705, I 68.4
d 3.042, I 62.9
d 2.543, I 49.5
d 1.816, I 42.6
d 2.181, I 35.6
d 3.089, I 34.8
d 2.526, I 33.6
d 1.458, I 32.6

***

No. 5
For Ce5YGa6, a cell relaxed with GGA-PBE gives the theoretical X-ray diffraction stick pattern in this record (Cu Kα X-rays).

Structure:
```
Ce5YGa6
1.0
2.5626 -7.7130 0.0000
2.5626 7.7130 0.0000
0.0000 0.0000 7.2773
Ce Y Ga
5 1 6
Direct
0.0000 0.0000 0.0000 Ce
0.3273 0.6727 0.0000 Ce
0.3334 0.6666 0.5000 Ce
0.6666 0.3334 0.5000 Ce
0.6727 0.3273 0.0000 Ce
0.0000 0.0000 0.5000 Y
0.1627 0.8373 0.2554 Ga
0.1627 0.8373 0.7446 Ga
0.5000 0.5000 0.2519 Ga
0.5000 0.5000 0.7481 Ga
0.8373 0.1627 0.2554 Ga
0.8373 0.1627 0.7446 Ga
```

Top 10 peaks for 2θ from 10° to 90°, in order of falling intensity:
d 2.570, I 100.0
d 1.484, I 28.2
d 2.563, I 20.0
d 1.481, I 14.3
d 1.815, I 13.9
d 3.633, I 12.0
d 1.285, I 10.7
d 1.148, I 8.9
d 1.819, I 7.1
d 1.150, I 6.2

***

No. 6
For Ce2Y2ZnGa4, a cell relaxed with GGA-PBE gives the theoretical X-ray diffraction stick pattern in this record (Cu Kα X-rays).

Structure:
```
Ce2Y2ZnGa4
1.0
-3.5850 3.5850 4.1963
3.5850 -3.5850 4.1963
3.5850 3.5850 -4.1963
Ce Y Zn Ga
2 2 1 4
Direct
0.1629 0.1629 0.0000 Ce
0.8371 0.8371 0.0000 Ce
0.2500 0.7500 0.5000 Y
0.7500 0.2500 0.5000 Y
0.5000 0.5000 0.0000 Zn
0.2646 0.2646 0.5293 Ga
0.2646 0.7354 0.0000 Ga
0.7354 0.2646 0.0000 Ga
0.7354 0.7354 0.4707 Ga
```

Top 10 peaks for 2θ from 10° to 90°, in order of falling intensity:
d 2.726, I 100.0
d 2.535, I 97.8
d 2.606, I 45.0
d 2.108, I 35.8
d 1.793, I 33.2
d 1.498, I 28.8
d 1.621, I 27.1
d 5.070, I 23.9
d 3.585, I 22.0
d 1.477, I 15.2

***

No. 7
For Ce2Zn6Ga3, a cell relaxed with GGA-PBE gives the theoretical X-ray diffraction stick pattern in this record (Cu Kα X-rays).

Structure:
```
Ce2Zn6Ga3
1.0
7.6238 0.0000 0.0000
-3.8119 6.6024 0.0000
0.0000 0.0000 4.1314
Ce Zn Ga
2 6 3
Direct
0.3333 0.6667 0.0000 Ce
0.6667 0.3333 0.0000 Ce
0.0000 0.2873 0.5000 Zn
0.0000 0.8072 0.0000 Zn
0.1928 0.1928 0.0000 Zn
0.2873 0.0000 0.5000 Zn
0.7127 0.7127 0.5000 Zn
0.8072 0.0000 0.0000 Zn
0.0000 0.6176 0.5000 Ga
0.3824 0.3824 0.5000 Ga
0.6176 0.0000 0.5000 Ga
```

Top 10 peaks for 2θ from 10° to 90°, in order of falling intensity:
d 2.802, I 100.0
d 2.136, I 55.8
d 2.201, I 32.8
d 2.066, I 25.6
d 2.495, I 22.7
d 1.360, I 21.3
d 1.506, I 19.2
d 2.579, I 14.6
d 1.731, I 13.9
d 1.831, I 12.6

***

No. 8
For CeZn2Ga2, a cell relaxed with GGA-PBE gives the theoretical X-ray diffraction stick pattern in this record (Cu Kα X-rays).

Structure:
```
CeZn2Ga2
1.0
4.2648 0.0000 0.0000
0.0000 4.2648 0.0000
0.0000 0.0000 10.5124
Ce Zn Ga
2 4 4
Direct
0.2500 0.2500 0.2483 Ce
0.7500 0.7500 0.7517 Ce
0.2500 0.2500 0.6344 Zn
0.2500 0.7500 0.0000 Zn
0.7500 0.2500 0.0000 Zn
0.7500 0.7500 0.3656 Zn
0.2500 0.2500 0.8654 Ga
0.2500 0.7500 0.5000 Ga
0.7500 0.2500 0.5000 Ga
0.7500 0.7500 0.1346 Ga
```

Top 10 peaks for 2θ from 10° to 90°, in order of falling intensity:
d 2.616, I 100.0
d 2.707, I 59.4
d 2.132, I 55.9
d 1.886, I 29.6
d 1.675, I 27.7
d 1.306, I 24.2
d 1.413, I 22.4
d 1.508, I 17.9
d 3.016, I 15.6
d 1.119, I 12.3

***

No. 9
For Ce4Zn3Ga, a cell relaxed with GGA-PBE gives the theoretical X-ray diffraction stick pattern in this record (Cu Kα X-rays).

Structure:
```
Ce4Zn3Ga
1.0
-2.2173 2.2173 8.9152
2.2173 -2.2173 8.9152
2.2173 2.2173 -8.9152
Ce Zn Ga
4 3 1
Direct
0.1247 0.6247 0.5000 Ce
0.3753 0.8753 0.5000 Ce
0.6247 0.1247 0.5000 Ce
0.8753 0.3753 0.5000 Ce
0.0000 0.0000 0.0000 Zn
0.2499 0.2499 0.0000 Zn
0.7501 0.7501 0.0000 Zn
0.5000 0.5000 0.0000 Ga
```

Top 10 peaks for 2θ from 10° to 90°, in order of falling intensity:
d 2.565, I 100.0
d 2.217, I 32.8
d 1.338, I 25.1
d 1.572, I 21.9
d 2.229, I 16.7
d 1.343, I 12.7
d 1.282, I 10.9
d 1.568, I 10.9
d 4.458, I 10.4
d 3.136, I 8.6

***

No. 10
For Ce2Zn12Ga5, a cell relaxed with GGA-PBE gives the theoretical X-ray diffraction stick pattern in this record (Cu Kα X-rays).

Structure:
```
Ce2Zn12Ga5
1.0
4.6603 2.6906 4.3541
-4.6603 2.6906 4.3541
0.0000 -5.3812 4.3541
Ce Zn Ga
2 12 5
Direct
0.1716 0.1716 0.1716 Ce
0.8284 0.8284 0.8284 Ce
0.1483 0.1483 0.6754 Zn
0.1483 0.6754 0.1483 Zn
0.1877 0.5000 0.8123 Zn
0.1877 0.8123 0.5000 Zn
0.3246 0.8517 0.8517 Zn
0.5000 0.1877 0.8123 Zn
0.5000 0.8123 0.1877 Zn
0.6754 0.1483 0.1483 Zn
0.8123 0.1877 0.5000 Zn
0.8123 0.5000 0.1877 Zn
0.8517 0.3246 0.8517 Zn
0.8517 0.8517 0.3246 Zn
0.0000 0.5000 0.5000 Ga
0.4024 0.4024 0.4024 Ga
0.5000 0.0000 0.5000 Ga
0.5000 0.5000 0.0000 Ga
0.5976 0.5976 0.5976 Ga
```

Top 10 peaks for 2θ from 10° to 90°, in order of falling intensity:
d 2.289, I 100.0
d 2.330, I 51.8
d 2.691, I 39.8
d 2.054, I 33.5
d 2.177, I 27.7
d 1.345, I 21.6
d 1.463, I 19.0
d 3.182, I 18.8
d 1.277, I 18.6
d 1.144, I 16.0

***

No. 11
For CeZn9Ga3, a cell relaxed with GGA-PBE gives the theoretical X-ray diffraction stick pattern in this record (Cu Kα X-rays).

Structure:
```
CeZn9Ga3
1.0
2.7958 -6.2124 0.0000
2.7958 6.2124 0.0000
-2.6911 0.0000 6.2936
Ce Zn Ga
1 9 3
Direct
0.0000 0.0000 0.0000 Ce
0.0152 0.3702 0.3589 Zn
0.2881 0.5028 0.7830 Zn
0.3702 0.0152 0.3589 Zn
0.4972 0.7119 0.2170 Zn
0.5000 0.5000 0.5000 Zn
0.5028 0.2881 0.7830 Zn
0.6298 0.9848 0.6411 Zn
0.7119 0.4972 0.2170 Zn
0.9848 0.6298 0.6411 Zn
0.0000 0.0000 0.5000 Ga
0.0000 0.5000 0.0000 Ga
0.5000 0.0000 0.0000 Ga
```

Top 10 peaks for 2θ from 10° to 90°, in order of falling intensity:
d 2.211, I 100.0
d 2.235, I 89.3
d 2.375, I 89.2
d 2.350, I 71.8
d 2.271, I 50.3
d 2.244, I 44.5
d 2.595, I 43.9
d 2.620, I 42.8
d 2.078, I 41.0
d 2.795, I 36.3

***

No. 12
For CeZn3Ga4, a cell relaxed with GGA-PBE gives the theoretical X-ray diffraction stick pattern in this record (Cu Kα X-rays).

Structure:
```
CeZn3Ga4
1.0
4.4039 0.0000 0.0000
0.0000 4.4039 0.0000
0.0000 0.0000 7.7514
Ce Zn Ga
1 3 4
Direct
0.0000 0.0000 0.0000 Ce
0.0000 0.0000 0.5000 Zn
0.5000 0.5000 0.1526 Zn
0.5000 0.5000 0.8474 Zn
0.0000 0.5000 0.3210 Ga
0.0000 0.5000 0.6790 Ga
0.5000 0.0000 0.3210 Ga
0.5000 0.0000 0.6790 Ga
```

Top 10 peaks for 2θ from 10° to 90°, in order of falling intensity:
d 2.202, I 100.0
d 2.890, I 78.9
d 2.428, I 76.2
d 2.909, I 70.7
d 1.988, I 43.9
d 1.557, I 32.4
d 1.756, I 31.5
d 1.774, I 24.8
d 1.381, I 20.9
d 2.229, I 20.9